# K2InAgBr4
Theoretical powder diffractogram, Cu Kα (weighted mean of Kα1 and Kα2). Input: a crystal structure in Alexandria, relaxed with PBE.
Neutral-atom scattering factors, no anomalous dispersion.

Principal peaks in the range 10° ≤ 2θ ≤ 90°, sorted by position:
2θ/deg	intensity
11.88	19
27.06	100
27.90	37
37.96	20
39.28	76
47.76	16
48.91	15
55.81	12
62.13	9
63.53	13
69.44	10
71.26	9

```
data_K2InAgBr4
_chemical_formula_sum 'K8 In4 Ag4 Br16'
_cell_length_a 13.1799
_cell_length_b 12.7896
_cell_length_c 9.1638
_cell_angle_alpha 90.00
_cell_angle_beta 133.99
_cell_angle_gamma 90.00
_space_group_name_H-M_alt 'C 1 2/c 1'
_space_group_IT_number 15
_space_group_name_Hall '-C 2yc'
loop_
_atom_site_label
_atom_site_fract_x
_atom_site_fract_y
_atom_site_fract_z
K1 0.0000 0.0000 0.0000
K2 0.2500 0.2500 0.0000
In1 0.0000 0.5000 0.0000
Ag1 0.2500 0.2500 0.5000
Br1 0.0007 0.2497 0.4998
Br2 0.2477 0.0365 0.4977
```

=====

# KIn2AgBr8
Theoretical powder diffractogram, Cu Kα (weighted mean of Kα1 and Kα2). Input: a crystal structure in Alexandria, relaxed with PBE.
Neutral-atom scattering factors, no anomalous dispersion.

Principal peaks in the range 10° ≤ 2θ ≤ 90°, sorted by position:
2θ/deg	intensity
13.34	7
13.69	100
19.16	38
23.63	23
27.59	12
30.76	20
31.85	36
37.57	37
41.91	16
44.29	8
47.24	19
73.68	8

```
data_KIn2AgBr8
_chemical_formula_sum 'K2 In4 Ag2 Br16'
_cell_length_a 12.9344
_cell_length_b 12.9344
_cell_length_c 7.7310
_cell_angle_alpha 90.00
_cell_angle_beta 90.00
_cell_angle_gamma 90.00
_space_group_name_H-M_alt 'I -4 m 2'
_space_group_IT_number 119
_space_group_name_Hall 'I -4 -2'
loop_
_atom_site_label
_atom_site_fract_x
_atom_site_fract_y
_atom_site_fract_z
K1 0.0000 0.0000 0.0000
In1 0.0000 0.0000 0.5000
In2 0.0000 0.5000 0.2500
Ag1 0.0000 0.5000 0.7500
Br1 0.0000 0.1622 0.6857
Br2 0.0000 0.3545 0.0244
```

=====

# Ag3IrBr8
Theoretical powder diffractogram, Cu Kα (weighted mean of Kα1 and Kα2). Input: a crystal structure in Alexandria, relaxed with PBE.
Neutral-atom scattering factors, no anomalous dispersion.

Principal peaks in the range 10° ≤ 2θ ≤ 90°, sorted by position:
2θ/deg	intensity
13.93	90
17.68	41
25.95	30
30.66	51
32.23	100
40.45	15
44.41	17
45.07	65
46.40	16
47.98	16
54.93	17
58.02	15

```
data_Ag3IrBr8
_chemical_formula_sum 'Ag6 Ir2 Br16'
_cell_length_a 7.5850
_cell_length_b 11.6657
_cell_length_c 8.1596
_cell_angle_alpha 90.00
_cell_angle_beta 90.00
_cell_angle_gamma 90.00
_space_group_name_H-M_alt 'C 2 2 2'
_space_group_IT_number 21
_space_group_name_Hall 'C 2 2'
loop_
_atom_site_label
_atom_site_fract_x
_atom_site_fract_y
_atom_site_fract_z
Ag1 0.0000 0.0000 0.0000
Ag2 0.2500 0.2500 0.7551
Ir1 0.0000 0.0000 0.5000
Br1 0.0000 0.2140 0.5000
Br2 0.0000 0.2237 0.0000
Br3 0.2340 0.0029 0.7151
```

=====

# K2AgIrBr6
Theoretical powder diffractogram, Cu Kα (weighted mean of Kα1 and Kα2). Input: a crystal structure in Alexandria, relaxed with PBE.
Neutral-atom scattering factors, no anomalous dispersion.

Principal peaks in the range 10° ≤ 2θ ≤ 90°, sorted by position:
2θ/deg	intensity
14.26	22
16.79	100
23.17	16
24.48	22
27.89	40
33.96	77
37.25	21
38.96	33
40.72	19
41.52	18
50.17	25
50.61	16

```
data_K2AgIrBr6
_chemical_formula_sum 'K2 Ag1 Ir1 Br6'
_cell_length_a 7.2899
_cell_length_b 7.2917
_cell_length_c 7.2980
_cell_angle_alpha 63.44
_cell_angle_beta 63.52
_cell_angle_gamma 63.55
_space_group_name_H-M_alt 'P -1'
_space_group_IT_number 2
_space_group_name_Hall '-P 1'
loop_
_atom_site_label
_atom_site_fract_x
_atom_site_fract_y
_atom_site_fract_z
K1 0.2482 0.2482 0.2484
Ag1 0.0000 0.0000 0.0000
Ir1 0.5000 0.5000 0.5000
Br1 0.1919 0.3403 0.7179
Br2 0.2816 0.8071 0.6601
Br3 0.3406 0.7195 0.1921
```

=====

# KAgBr3
Theoretical powder diffractogram, Cu Kα (weighted mean of Kα1 and Kα2). Input: a crystal structure in Alexandria, relaxed with PBE.
Neutral-atom scattering factors, no anomalous dispersion.

Principal peaks in the range 10° ≤ 2θ ≤ 90°, sorted by position:
2θ/deg	intensity
11.65	64
13.19	28
23.85	33
25.73	28
27.08	100
27.67	67
28.27	35
32.38	36
33.60	34
40.16	35
40.46	33
48.78	29

```
data_KAgBr3
_chemical_formula_sum 'K2 Ag2 Br6'
_cell_length_a 4.4665
_cell_length_b 7.9851
_cell_length_c 10.0860
_cell_angle_alpha 75.59
_cell_angle_beta 78.78
_cell_angle_gamma 76.88
_space_group_name_H-M_alt 'P 1'
_space_group_IT_number 1
_space_group_name_Hall 'P 1'
loop_
_atom_site_label
_atom_site_fract_x
_atom_site_fract_y
_atom_site_fract_z
K1 0.0000 0.0000 0.0000
K2 0.3026 0.8064 0.5417
Ag1 0.2161 0.3063 0.3088
Ag2 0.5314 0.2586 0.6344
Br1 0.0046 0.4517 0.5382
Br2 0.3962 0.3371 0.9066
Br3 0.4329 0.5361 0.0694
Br4 0.5152 0.7543 0.2080
Br5 0.6498 0.9245 0.7555
Br6 0.7950 0.1020 0.3305
```

=====

# K2Ag2Br7
Theoretical powder diffractogram, Cu Kα (weighted mean of Kα1 and Kα2). Input: a crystal structure in Alexandria, relaxed with PBE.
Neutral-atom scattering factors, no anomalous dispersion.

Principal peaks in the range 10° ≤ 2θ ≤ 90°, sorted by position:
2θ/deg	intensity
15.25	100
19.41	21
21.51	38
23.53	44
26.03	28
32.60	47
33.07	20
36.50	28
38.35	18
39.76	22
43.26	17
49.75	20

```
data_K2Ag2Br7
_chemical_formula_sum 'K4 Ag4 Br14'
_cell_length_a 9.9554
_cell_length_b 10.9819
_cell_length_c 8.3521
_cell_angle_alpha 90.00
_cell_angle_beta 98.50
_cell_angle_gamma 90.00
_space_group_name_H-M_alt 'C 1 2/m 1'
_space_group_IT_number 12
_space_group_name_Hall '-C 2y'
loop_
_atom_site_label
_atom_site_fract_x
_atom_site_fract_y
_atom_site_fract_z
K1 0.0000 0.2365 0.0000
Ag1 0.2358 0.5000 0.6829
Br1 0.0000 0.5000 0.5000
Br2 0.0061 0.0000 0.2483
Br3 0.2171 0.2741 0.7311
```

=====

# KAg3Br8
Theoretical powder diffractogram, Cu Kα (weighted mean of Kα1 and Kα2). Input: a crystal structure in Alexandria, relaxed with PBE.
Neutral-atom scattering factors, no anomalous dispersion.

Principal peaks in the range 10° ≤ 2θ ≤ 90°, sorted by position:
2θ/deg	intensity
17.81	74
25.37	38
27.40	100
30.90	31
31.17	38
32.81	58
34.31	27
36.07	32
43.16	31
44.71	72
49.36	47
50.72	28

```
data_KAg3Br8
_chemical_formula_sum 'K1 Ag3 Br8'
_cell_length_a 7.0212
_cell_length_b 7.0212
_cell_length_c 8.6827
_cell_angle_alpha 90.00
_cell_angle_beta 90.00
_cell_angle_gamma 120.00
_space_group_name_H-M_alt 'P -3'
_space_group_IT_number 147
_space_group_name_Hall '-P 3'
loop_
_atom_site_label
_atom_site_fract_x
_atom_site_fract_y
_atom_site_fract_z
K1 0.0000 0.0000 0.0000
Ag1 0.0000 0.0000 0.5000
Ag2 0.3333 0.6667 0.7274
Br1 0.0326 0.3185 0.3166
Br2 0.3333 0.6667 0.0310
```

=====

# K2Ag3Br6
Theoretical powder diffractogram, Cu Kα (weighted mean of Kα1 and Kα2). Input: a crystal structure in Alexandria, relaxed with PBE.
Neutral-atom scattering factors, no anomalous dispersion.

Principal peaks in the range 10° ≤ 2θ ≤ 90°, sorted by position:
2θ/deg	intensity
11.99	39
16.53	19
20.84	32
26.72	39
32.08	100
33.41	43
36.29	16
36.52	20
45.82	23
47.00	66
50.33	15
79.26	14

```
data_K2Ag3Br6
_chemical_formula_sum 'K2 Ag3 Br6'
_cell_length_a 8.5233
_cell_length_b 8.5233
_cell_length_c 5.3643
_cell_angle_alpha 90.00
_cell_angle_beta 90.00
_cell_angle_gamma 120.00
_space_group_name_H-M_alt 'P -6 2 m'
_space_group_IT_number 189
_space_group_name_Hall 'P -6 -2'
loop_
_atom_site_label
_atom_site_fract_x
_atom_site_fract_y
_atom_site_fract_z
K1 0.3333 0.6667 0.0000
Ag1 0.0000 0.2215 0.5000
Br1 0.0000 0.2624 0.0000
Br2 0.0000 0.6289 0.5000
```

=====

# KAg7Br12
Theoretical powder diffractogram, Cu Kα (weighted mean of Kα1 and Kα2). Input: a crystal structure in Alexandria, relaxed with PBE.
Neutral-atom scattering factors, no anomalous dispersion.

Principal peaks in the range 10° ≤ 2θ ≤ 90°, sorted by position:
2θ/deg	intensity
20.87	15
24.15	63
27.05	66
32.13	39
34.42	49
42.49	100
49.46	16
51.09	33
54.25	16
55.78	20
67.21	19
77.74	47

```
data_KAg7Br12
_chemical_formula_sum 'K2 Ag14 Br24'
_cell_length_a 10.4237
_cell_length_b 10.4237
_cell_length_c 10.4237
_cell_angle_alpha 90.00
_cell_angle_beta 90.00
_cell_angle_gamma 90.00
_space_group_name_H-M_alt 'I m -3'
_space_group_IT_number 204
_space_group_name_Hall '-I 2 2 3'
loop_
_atom_site_label
_atom_site_fract_x
_atom_site_fract_y
_atom_site_fract_z
K1 0.0000 0.0000 0.0000
Ag1 0.0000 0.0000 0.5000
Ag2 0.2500 0.2500 0.2500
Br1 0.0000 0.3127 0.1764
```

=====

# KAgBr2
Theoretical powder diffractogram, Cu Kα (weighted mean of Kα1 and Kα2). Input: a crystal structure in Alexandria, relaxed with PBE.
Neutral-atom scattering factors, no anomalous dispersion.

Principal peaks in the range 10° ≤ 2θ ≤ 90°, sorted by position:
2θ/deg	intensity
16.40	27
30.40	70
33.16	100
33.26	99
36.28	39
47.31	18
47.88	17
48.18	17
55.72	21
55.92	21
57.28	19
63.23	21

```
data_KAgBr2
_chemical_formula_sum 'K2 Ag2 Br4'
_cell_length_a 7.7121
_cell_length_b 7.6849
_cell_length_c 3.8336
_cell_angle_alpha 90.00
_cell_angle_beta 99.81
_cell_angle_gamma 90.00
_space_group_name_H-M_alt 'C 1 2/m 1'
_space_group_IT_number 12
_space_group_name_Hall '-C 2y'
loop_
_atom_site_label
_atom_site_fract_x
_atom_site_fract_y
_atom_site_fract_z
K1 0.0000 0.0000 0.0000
Ag1 0.0000 0.5000 0.0000
Br1 0.2500 0.2500 0.5000
```

=====

# KAg4Br6
Theoretical powder diffractogram, Cu Kα (weighted mean of Kα1 and Kα2). Input: a crystal structure in Alexandria, relaxed with PBE.
Neutral-atom scattering factors, no anomalous dispersion.

Principal peaks in the range 10° ≤ 2θ ≤ 90°, sorted by position:
2θ/deg	intensity
15.86	38
16.30	38
20.20	50
20.42	48
26.61	100
26.71	50
26.90	51
30.20	47
40.86	51
41.05	38
42.43	48
45.32	38

```
data_KAg4Br6
_chemical_formula_sum 'K1 Ag4 Br6'
_cell_length_a 7.2379
_cell_length_b 7.2952
_cell_length_c 7.7630
_cell_angle_alpha 71.54
_cell_angle_beta 71.02
_cell_angle_gamma 70.93
_space_group_name_H-M_alt 'P 1'
_space_group_IT_number 1
_space_group_name_Hall 'P 1'
loop_
_atom_site_label
_atom_site_fract_x
_atom_site_fract_y
_atom_site_fract_z
K1 0.0000 0.0000 0.0000
Ag1 0.2874 0.2918 0.1892
Ag2 0.6086 0.6050 0.2902
Ag3 0.6425 0.9941 0.6549
Ag4 0.9903 0.6474 0.6544
Br1 0.0359 0.0376 0.5650
Br2 0.1992 0.6174 0.3135
Br3 0.4840 0.9920 0.0118
Br4 0.6143 0.1970 0.3160
Br5 0.6228 0.6294 0.6247
Br6 0.9862 0.4891 0.0117
```

=====

# KAg5Br7
Theoretical powder diffractogram, Cu Kα (weighted mean of Kα1 and Kα2). Input: a crystal structure in Alexandria, relaxed with PBE.
Neutral-atom scattering factors, no anomalous dispersion.

Principal peaks in the range 10° ≤ 2θ ≤ 90°, sorted by position:
2θ/deg	intensity
28.67	47
29.11	32
29.40	100
30.59	69
32.59	38
42.26	41
43.21	31
43.46	24
43.83	32
45.09	37
47.31	19
76.94	18

```
data_KAg5Br7
_chemical_formula_sum 'K4 Ag20 Br28'
_cell_length_a 4.2773
_cell_length_b 13.8760
_cell_length_c 23.9357
_cell_angle_alpha 90.00
_cell_angle_beta 90.00
_cell_angle_gamma 90.00
_space_group_name_H-M_alt 'C m c m'
_space_group_IT_number 63
_space_group_name_Hall '-C 2c 2'
loop_
_atom_site_label
_atom_site_fract_x
_atom_site_fract_y
_atom_site_fract_z
K1 0.0000 0.1914 0.2500
Ag1 0.0000 0.0000 0.0000
Ag2 0.0000 0.2866 0.5708
Ag3 0.0000 0.4444 0.1447
Br1 0.0000 0.0753 0.1055
Br2 0.0000 0.1913 0.6659
Br3 0.0000 0.3606 0.0329
Br4 0.0000 0.4849 0.7500
```

=====

# KAg2Br8
Theoretical powder diffractogram, Cu Kα (weighted mean of Kα1 and Kα2). Input: a crystal structure in Alexandria, relaxed with PBE.
Neutral-atom scattering factors, no anomalous dispersion.

Principal peaks in the range 10° ≤ 2θ ≤ 90°, sorted by position:
2θ/deg	intensity
16.11	79
21.19	47
26.53	100
26.74	17
32.56	19
33.07	64
36.09	61
39.17	32
43.56	17
46.35	43
49.73	22
56.31	17

```
data_KAg2Br8
_chemical_formula_sum 'K2 Ag4 Br16'
_cell_length_a 7.7788
_cell_length_b 7.7788
_cell_length_c 12.9539
_cell_angle_alpha 90.00
_cell_angle_beta 90.00
_cell_angle_gamma 90.00
_space_group_name_H-M_alt 'I 4 2 2'
_space_group_IT_number 97
_space_group_name_Hall 'I 4 2'
loop_
_atom_site_label
_atom_site_fract_x
_atom_site_fract_y
_atom_site_fract_z
K1 0.0000 0.0000 0.0000
Ag1 0.0000 0.5000 0.2500
Br1 0.1501 0.3176 0.6200
```